For Tm6InTc, a GGA-PBE-relaxed structure gives the calculated powder XRD pattern in this record (Cu Kα).
Neutral-atom scattering factors, no anomalous dispersion.

Main lines, in order of rising 2θ (10° ≤ 2θ ≤ 90°):
(0 1 -1), 24.05 deg, I = 19
(0 0 2), 28.20 deg, I = 39
(2 1 0), 29.85 deg, I = 100
(1 -1 1), 29.96 deg, I = 74
(2 1 2), 30.19 deg, I = 32
(1 2 -1), 38.81 deg, I = 41
(1 2 3), 39.04 deg, I = 22
(2 1 3), 39.28 deg, I = 15
(0 3 1), 46.26 deg, I = 16
(3 0 1), 46.60 deg, I = 32
(2 1 -2), 50.82 deg, I = 22
(1 -1 3), 51.11 deg, I = 17

```
Tm6InTc
1.0
6.7373 0.0000 0.0000
3.3673 5.8877 0.0000
3.2971 1.9604 6.3297
Tm In Tc
6 1 1
Direct
0.0338 0.4190 0.2589
0.2141 0.9683 0.7423
0.4178 0.7890 0.2583
0.5822 0.2110 0.7417
0.7859 0.0317 0.2577
0.9662 0.5810 0.7411
0.5000 0.5000 0.0000
0.0000 0.0000 0.5000
```